Calculated X-ray diffraction stick pattern
Compound: Ca3Zn3Ir
Radiation: Cu Kα (weighted mean of Kα1 and Kα2)
Structure: a DFT-relaxed cell (GGA-PBE, Alexandria)
Peak positions follow from Bragg's law for the DFT cell and can differ from measured ones.

Cell and atoms:
a = 5.820 Å, b = 5.820 Å, c = 15.385 Å
α = 105.17°, β = 105.17°, γ = 41.99°
Element x y z (fractional)
Ca 0.022 0.022 0.388
Ca 0.112 0.112 0.922
Ca 0.252 0.252 0.246
Ca 0.748 0.748 0.754
Ca 0.888 0.888 0.078
Ca 0.978 0.978 0.612
Zn 0.325 0.325 0.464
Zn 0.401 0.401 0.923
Zn 0.457 0.457 0.768
Zn 0.543 0.543 0.232
Zn 0.599 0.599 0.077
Zn 0.675 0.675 0.536
Ir 0.279 0.279 0.623
Ir 0.721 0.721 0.377

Peak list (6 most intense, 2θ = 10–90°, low angle first)
2θ 16.36, d = 5.418 Å, I 1000
2θ 30.83, d = 2.900 Å, I 348
2θ 38.22, d = 2.355 Å, I 580
2θ 39.15, d = 2.301 Å, I 370
2θ 43.40, d = 2.085 Å, I 366
2θ 50.80, d = 1.797 Å, I 290

Calculated X-ray diffraction stick pattern
Compound: Ca2ZnIr3
Radiation: Cu Kα (weighted mean of Kα1 and Kα2)
Structure: a DFT-relaxed cell (GGA-PBE, Alexandria)
Peak positions follow from Bragg's law for the DFT cell and can differ from measured ones.

Cell and atoms:
a = 9.087 Å, b = 5.445 Å, c = 5.298 Å
α = 90.00°, β = 123.52°, γ = 90.00°
Element x y z (fractional)
Ca 0.123 0.000 0.377
Ca 0.377 0.500 0.623
Ca 0.623 0.500 0.377
Ca 0.877 0.000 0.623
Zn 0.000 0.500 0.000
Zn 0.500 0.000 0.000
Ir 0.000 0.500 0.500
Ir 0.250 0.250 0.000
Ir 0.250 0.750 0.000
Ir 0.500 0.000 0.500
Ir 0.750 0.250 0.000
Ir 0.750 0.750 0.000

Peak list (6 most intense, 2θ = 10–90°, low angle first)
2θ 20.09, d = 4.420 Å, I 577
2θ 20.82, d = 4.266 Å, I 850
2θ 38.88, d = 2.316 Å, I 860
2θ 39.29, d = 2.293 Å, I 545
2θ 40.83, d = 2.210 Å, I 1000
2θ 47.93, d = 1.898 Å, I 321

Calculated X-ray diffraction stick pattern
Compound: Ca3Zn4Ir2
Radiation: Cu Kα (weighted mean of Kα1 and Kα2)
Structure: a DFT-relaxed cell (GGA-PBE, Alexandria)
Peak positions follow from Bragg's law for the DFT cell and can differ from measured ones.

Cell and atoms:
a = 4.359 Å, b = 4.359 Å, c = 23.563 Å
α = 90.00°, β = 90.00°, γ = 120.00°
Element x y z (fractional)
Ca 0.000 0.000 0.079
Ca 0.000 0.000 0.257
Ca 0.000 0.000 0.411
Ca 0.000 0.000 0.589
Ca 0.000 0.000 0.743
Ca 0.000 0.000 0.921
Zn 0.333 0.667 0.170
Zn 0.333 0.667 0.334
Zn 0.333 0.667 0.500
Zn 0.333 0.667 0.666
Zn 0.333 0.667 0.830
Zn 0.667 0.333 0.173
Zn 0.667 0.333 0.500
Zn 0.667 0.333 0.827
Ir 0.333 0.667 0.000
Ir 0.667 0.333 0.000
Ir 0.667 0.333 0.333
Ir 0.667 0.333 0.667

Peak list (6 most intense, 2θ = 10–90°, low angle first)
2θ 11.27, d = 7.854 Å, I 564
2θ 22.64, d = 3.927 Å, I 559
2θ 32.91, d = 2.721 Å, I 1000
2θ 41.43, d = 2.179 Å, I 759
2θ 47.73, d = 1.906 Å, I 478
2θ 63.80, d = 1.459 Å, I 388

Calculated X-ray diffraction stick pattern
Compound: Ca3Zn3Ir2
Radiation: Cu Kα (weighted mean of Kα1 and Kα2)
Structure: a DFT-relaxed cell (GGA-PBE, Alexandria)
Peak positions follow from Bragg's law for the DFT cell and can differ from measured ones.

Cell and atoms:
a = 7.872 Å, b = 15.460 Å, c = 5.711 Å
α = 90.00°, β = 90.00°, γ = 90.00°
Element x y z (fractional)
Ca 0.037 0.105 0.113
Ca 0.037 0.395 0.113
Ca 0.178 0.250 0.630
Ca 0.322 0.750 0.130
Ca 0.463 0.605 0.613
Ca 0.463 0.895 0.613
Ca 0.537 0.105 0.387
Ca 0.537 0.395 0.387
Ca 0.678 0.250 0.870
Ca 0.822 0.750 0.370
Ca 0.963 0.605 0.887
Ca 0.963 0.895 0.887
Zn 0.161 0.750 0.597
Zn 0.173 0.036 0.607
Zn 0.173 0.464 0.607
Zn 0.327 0.536 0.107
Zn 0.327 0.964 0.107
Zn 0.339 0.250 0.097
Zn 0.661 0.750 0.903
Zn 0.673 0.036 0.893
Zn 0.673 0.464 0.893
Zn 0.827 0.536 0.393
Zn 0.827 0.964 0.393
Zn 0.839 0.250 0.403
Ir 0.119 0.608 0.389
Ir 0.119 0.892 0.389
Ir 0.381 0.108 0.889
Ir 0.381 0.392 0.889
Ir 0.619 0.608 0.111
Ir 0.619 0.892 0.111
Ir 0.881 0.108 0.611
Ir 0.881 0.392 0.611

Peak list (6 most intense, 2θ = 10–90°, low angle first)
2θ 19.20, d = 4.622 Å, I 695
2θ 20.05, d = 4.429 Å, I 378
2θ 23.28, d = 3.820 Å, I 739
2θ 36.17, d = 2.483 Å, I 585
2θ 37.77, d = 2.382 Å, I 1000
2θ 40.93, d = 2.205 Å, I 505

Calculated X-ray diffraction stick pattern
Compound: Ca4Zn3Ir
Radiation: Cu Kα (weighted mean of Kα1 and Kα2)
Structure: a DFT-relaxed cell (GGA-PBE, Alexandria)
Peak positions follow from Bragg's law for the DFT cell and can differ from measured ones.

Cell and atoms:
a = 4.189 Å, b = 4.393 Å, c = 11.035 Å
α = 90.00°, β = 90.00°, γ = 90.00°
Element x y z (fractional)
Ca 0.000 0.000 0.000
Ca 0.000 0.500 0.266
Ca 0.500 0.000 0.463
Ca 0.500 0.500 0.773
Zn 0.000 0.000 0.689
Zn 0.000 0.500 0.563
Zn 0.500 0.500 0.069
Ir 0.500 0.000 0.187

Peak list (6 most intense, 2θ = 10–90°, low angle first)
2θ 16.06, d = 5.518 Å, I 499
2θ 22.70, d = 3.916 Å, I 471
2θ 30.58, d = 2.923 Å, I 569
2θ 32.40, d = 2.763 Å, I 331
2θ 38.50, d = 2.338 Å, I 1000
2θ 41.09, d = 2.197 Å, I 222

Calculated X-ray diffraction stick pattern
Compound: CaZn2Ir
Radiation: Cu Kα (weighted mean of Kα1 and Kα2)
Structure: a DFT-relaxed cell (GGA-PBE, Alexandria)
Peak positions follow from Bragg's law for the DFT cell and can differ from measured ones.

Cell and atoms:
a = 6.562 Å, b = 6.562 Å, c = 6.562 Å
α = 90.00°, β = 90.00°, γ = 90.00°
Element x y z (fractional)
Ca 0.000 0.000 0.000
Ca 0.000 0.500 0.500
Ca 0.500 0.000 0.500
Ca 0.500 0.500 0.000
Zn 0.000 0.000 0.500
Zn 0.000 0.500 0.000
Zn 0.250 0.250 0.750
Zn 0.250 0.750 0.250
Zn 0.500 0.000 0.000
Zn 0.500 0.500 0.500
Zn 0.750 0.250 0.250
Zn 0.750 0.750 0.750
Ir 0.250 0.250 0.250
Ir 0.250 0.750 0.750
Ir 0.750 0.250 0.750
Ir 0.750 0.750 0.250

Peak list (6 most intense, 2θ = 10–90°, low angle first)
2θ 23.48, d = 3.788 Å, I 249
2θ 27.18, d = 3.281 Å, I 192
2θ 38.82, d = 2.320 Å, I 1000
2θ 45.87, d = 1.978 Å, I 134
2θ 56.06, d = 1.640 Å, I 168
2θ 70.28, d = 1.339 Å, I 333